Computed PXRD pattern of Tb3Ga5Cu6 for Cu Kα (weighted mean of Kα1 and Kα2), from DFT lattice parameters and positions (GGA-PBE).
Intensities are scaled so that the largest is 100.

Structural model:
a b c (Å): 4.307 8.727 12.628
angles (deg): 90.00 90.00 90.00
Space group Immm (No. 71)
Unique sites:
Tb: 0.000 0.000 0.000 [2 per cell]
Tb: 0.000 0.000 0.301 [4 per cell]
Ga: 0.000 0.354 0.338 [8 per cell]
Ga: 0.000 0.500 0.000 [2 per cell]
Cu: 0.000 0.188 0.500 [4 per cell]
Cu: 0.000 0.281 0.132 [8 per cell]

Top 8 peaks for 10 to 80 degrees two-theta, sorted by position:
| Position (°2θ) | d (Å) | intensity |
| --- | --- | --- |
| 29.7 | 3.011 | 30 |
| 35.1 | 2.558 | 29 |
| 36.3 | 2.478 | 100 |
| 36.8 | 2.444 | 28 |
| 37.3 | 2.411 | 44 |
| 37.6 | 2.393 | 34 |
| 40.0 | 2.252 | 27 |
| 41.9 | 2.154 | 51 |